Diffraction record for Na2HoTiO4. The powder XRD pattern is theoretical, not measured: it uses a structure optimized by DFT (PBE) and a wavelength of 1.5418 Å.
Peak positions follow from Bragg's law for the DFT cell and can differ from measured ones.

The 10 most intense peaks (2θ = 10–80°), in order of rising 2θ:
two_theta  I/Imax
16.01  98
16.74  29
19.12  24
32.34  22
32.46  39
33.81  54
38.82  100
55.09  31
57.02  30
67.10  21

Atomic structure:
```
data_Na2HoTiO4
_chemical_formula_sum 'Na2 Ho1 Ti1 O4'
_cell_length_a 5.593
_cell_length_b 3.232
_cell_length_c 5.844
_cell_angle_alpha 90.00
_cell_angle_beta 108.69
_cell_angle_gamma 90.00
_symmetry_space_group_name_H-M 'P 1'
_symmetry_Int_Tables_number 1
_symmetry_space_group_name_Hall 'P 1'
loop_
_atom_site_label
_atom_site_type_symbol
_atom_site_fract_x
_atom_site_fract_y
_atom_site_fract_z
Na1 Na 0.000 0.000 0.000
Na2 Na 0.500 0.500 0.000
Ho1 Ho 0.000 0.500 0.500
Ti1 Ti 0.500 0.000 0.500
O1 O 0.258 0.000 0.710
O2 O 0.280 0.500 0.294
O3 O 0.720 0.500 0.706
O4 O 0.742 0.000 0.290
```

Diffraction record for Pm3Sm5Y. The powder XRD pattern is theoretical, not measured: it uses a structure optimized by DFT (PBE) and a wavelength of 1.5418 Å.
Peak positions follow from Bragg's law for the DFT cell and can differ from measured ones.

The 10 most intense peaks (2θ = 10–80°), in order of rising 2θ:
two_theta  I/Imax
29.25  40
30.65  61
31.35  49
31.53  100
31.70  48
42.59  14
43.16  14
47.40  18
55.16  13
57.52  22

Atomic structure:
```
data_Pm3Sm5Y
_chemical_formula_sum 'Pm6 Sm10 Y2'
_cell_length_a 6.820
_cell_length_b 8.763
_cell_length_c 11.102
_cell_angle_alpha 105.58
_cell_angle_beta 97.79
_cell_angle_gamma 101.00
_symmetry_space_group_name_H-M 'P 1'
_symmetry_Int_Tables_number 1
_symmetry_space_group_name_Hall 'P 1'
loop_
_atom_site_label
_atom_site_type_symbol
_atom_site_fract_x
_atom_site_fract_y
_atom_site_fract_z
Pm1 Pm 0.000 0.000 0.000
Pm2 Pm 0.184 0.552 0.408
Pm3 Pm 0.314 0.445 0.090
Pm4 Pm 0.500 0.000 0.500
Pm5 Pm 0.686 0.555 0.910
Pm6 Pm 0.816 0.448 0.592
Sm1 Sm 0.054 0.882 0.632
Sm2 Sm 0.195 0.659 0.868
Sm3 Sm 0.306 0.343 0.635
Sm4 Sm 0.437 0.236 0.307
Sm5 Sm 0.442 0.120 0.865
Sm6 Sm 0.558 0.880 0.135
Sm7 Sm 0.563 0.764 0.693
Sm8 Sm 0.694 0.657 0.365
Sm9 Sm 0.805 0.341 0.132
Sm10 Sm 0.946 0.118 0.368
Y1 Y 0.068 0.764 0.195
Y2 Y 0.932 0.236 0.805
```

Diffraction record for ErTh7Sc2. The powder XRD pattern is theoretical, not measured: it uses a structure optimized by DFT (PBE) and a wavelength of 1.5418 Å.
Peak positions follow from Bragg's law for the DFT cell and can differ from measured ones.

The 10 most intense peaks (2θ = 10–80°), in order of rising 2θ:
two_theta  I/Imax
17.90  5
31.18  100
36.11  34
36.26  17
52.00  12
52.10  24
61.86  22
61.95  7
62.08  14
65.03  13

Atomic structure:
```
data_ErTh7Sc2
_chemical_formula_sum 'Er1 Th7 Sc2'
_cell_length_a 4.971
_cell_length_b 7.024
_cell_length_c 9.299
_cell_angle_alpha 78.85
_cell_angle_beta 74.52
_cell_angle_gamma 89.93
_symmetry_space_group_name_H-M 'P 1'
_symmetry_Int_Tables_number 1
_symmetry_space_group_name_Hall 'P 1'
loop_
_atom_site_label
_atom_site_type_symbol
_atom_site_fract_x
_atom_site_fract_y
_atom_site_fract_z
Er1 Er 0.000 0.000 0.000
Th1 Th 0.000 0.500 0.000
Th2 Th 0.201 0.104 0.598
Th3 Th 0.396 0.695 0.208
Th4 Th 0.400 0.199 0.200
Th5 Th 0.600 0.801 0.800
Th6 Th 0.604 0.305 0.792
Th7 Th 0.799 0.896 0.402
Sc1 Sc 0.198 0.597 0.602
Sc2 Sc 0.802 0.403 0.398
```

Diffraction record for MgZr2F11. The powder XRD pattern is theoretical, not measured: it uses a structure optimized by DFT (PBE) and a wavelength of 1.5418 Å.
Peak positions follow from Bragg's law for the DFT cell and can differ from measured ones.

The 10 most intense peaks (2θ = 10–80°), in order of rising 2θ:
two_theta  I/Imax
16.97  69
18.11  31
22.17  35
22.84  20
24.92  61
25.19  100
45.86  19
46.31  21
51.02  26
67.55  14

Atomic structure:
```
data_MgZr2F11
_chemical_formula_sum 'Mg2 Zr4 F22'
_cell_length_a 8.236
_cell_length_b 8.236
_cell_length_c 8.236
_cell_angle_alpha 120.81
_cell_angle_beta 107.00
_cell_angle_gamma 101.27
_symmetry_space_group_name_H-M 'P 1'
_symmetry_Int_Tables_number 1
_symmetry_space_group_name_Hall 'P 1'
loop_
_atom_site_label
_atom_site_type_symbol
_atom_site_fract_x
_atom_site_fract_y
_atom_site_fract_z
Mg1 Mg 0.250 0.250 0.000
Mg2 Mg 0.750 0.750 0.000
Zr1 Zr 0.202 0.609 0.811
Zr2 Zr 0.298 0.109 0.407
Zr3 Zr 0.702 0.891 0.593
Zr4 Zr 0.798 0.391 0.189
F1 F 0.000 0.500 0.500
F2 F 0.008 0.947 0.216
F3 F 0.046 0.439 0.184
F4 F 0.217 0.353 0.569
F5 F 0.231 0.447 0.939
F6 F 0.245 0.061 0.607
F7 F 0.255 0.862 0.816
F8 F 0.269 0.208 0.216
F9 F 0.283 0.853 0.136
F10 F 0.454 0.638 0.393
F11 F 0.492 0.708 0.939
F12 F 0.500 0.000 0.500
F13 F 0.508 0.292 0.061
F14 F 0.546 0.362 0.607
F15 F 0.717 0.147 0.864
F16 F 0.731 0.792 0.784
F17 F 0.745 0.138 0.184
F18 F 0.755 0.939 0.393
F19 F 0.769 0.553 0.061
F20 F 0.783 0.647 0.431
F21 F 0.954 0.561 0.816
F22 F 0.992 0.053 0.784
```